Entry 1:
The following is a computed powder X-ray diffraction pattern of Hf5P7Pd9. It was derived from a DFT-relaxed cell (PBE, Alexandria), using a wavelength of 1.5418 Å.
Neutral-atom scattering factors, no anomalous dispersion.

Most intense lines, 2θ from 5° to 70°, sorted by position:
| d [Å] | intensity |
| --- | --- |
| 3.293 | 21 |
| 3.073 | 16 |
| 2.484 | 100 |
| 2.475 | 43 |
| 2.321 | 54 |
| 2.275 | 28 |
| 2.179 | 31 |
| 2.120 | 14 |
| 2.068 | 18 |
| 1.892 | 40 |
| 1.454 | 13 |
| 1.423 | 12 |

Structural model:
Cell lengths 3.782, 13.736, 13.736 Å; angles 152.42, 90.00, 90.00 degrees
Element x y z (fractional)
Hf (0.000, 0.000, 0.000)
Hf (0.000, 0.291, 0.467)
Hf (0.000, 0.467, 0.291)
Hf (0.500, 0.539, 0.998)
Hf (0.500, 0.998, 0.539)
P (0.000, 0.273, 0.841)
P (0.000, 0.603, 0.603)
P (0.000, 0.841, 0.273)
P (0.500, 0.028, 0.163)
P (0.500, 0.163, 0.028)
P (0.500, 0.430, 0.718)
P (0.500, 0.718, 0.430)
Pd (0.000, 0.243, 0.635)
Pd (0.000, 0.635, 0.243)
Pd (0.000, 0.679, 0.960)
Pd (0.000, 0.960, 0.679)
Pd (0.500, 0.002, 0.315)
Pd (0.500, 0.315, 0.002)
Pd (0.500, 0.355, 0.355)
Pd (0.500, 0.671, 0.789)
Pd (0.500, 0.789, 0.671)

Entry 2:
The following is a computed powder X-ray diffraction pattern of PmHfP. It was derived from a DFT-relaxed cell (PBE, Alexandria), using a wavelength of 1.5418 Å.
Neutral-atom scattering factors, no anomalous dispersion.

Most intense lines, 2θ from 5° to 70°, sorted by position:
| d [Å] | intensity |
| --- | --- |
| 3.076 | 100 |
| 3.027 | 91 |
| 2.689 | 99 |
| 2.555 | 45 |
| 1.926 | 19 |
| 1.878 | 15 |
| 1.852 | 66 |
| 1.625 | 30 |
| 1.603 | 25 |
| 1.558 | 14 |
| 1.538 | 19 |
| 1.513 | 15 |

Structural model:
Cell lengths 3.852, 5.109, 7.513 Å; angles 90.00, 90.00, 90.00 degrees
Element x y z (fractional)
Pm (0.250, 0.250, 0.113)
Pm (0.750, 0.750, 0.887)
Hf (0.250, 0.250, 0.605)
Hf (0.750, 0.750, 0.395)
P (0.250, 0.750, 0.620)
P (0.750, 0.250, 0.380)

Entry 3:
The following is a computed powder X-ray diffraction pattern of Pr2SmHfP4. It was derived from a DFT-relaxed cell (PBE, Alexandria), using a wavelength of 1.5418 Å.
Neutral-atom scattering factors, no anomalous dispersion.

Most intense lines, 2θ from 5° to 70°, sorted by position:
| d [Å] | intensity |
| --- | --- |
| 3.308 | 43 |
| 3.293 | 42 |
| 2.858 | 100 |
| 2.029 | 12 |
| 2.020 | 48 |
| 2.016 | 12 |
| 1.728 | 14 |
| 1.723 | 11 |
| 1.721 | 17 |
| 1.652 | 6 |
| 1.647 | 13 |
| 1.430 | 8 |

Structural model:
Cell lengths 6.995, 4.032, 7.012 Å; angles 90.00, 109.16, 90.00 degrees
Element x y z (fractional)
Pr (0.000, 0.000, 0.000)
Pr (0.500, 0.500, 0.000)
Sm (0.000, 0.500, 0.500)
Hf (0.500, 0.000, 0.500)
P (0.259, 0.000, 0.734)
P (0.271, 0.500, 0.275)
P (0.729, 0.500, 0.725)
P (0.741, 0.000, 0.266)

Entry 4:
The following is a computed powder X-ray diffraction pattern of Pu4HfP5. It was derived from a DFT-relaxed cell (PBE, Alexandria), using a wavelength of 1.5418 Å.
Neutral-atom scattering factors, no anomalous dispersion.

Most intense lines, 2θ from 5° to 70°, sorted by position:
| d [Å] | intensity |
| --- | --- |
| 3.218 | 55 |
| 3.203 | 54 |
| 2.780 | 100 |
| 1.972 | 12 |
| 1.967 | 49 |
| 1.958 | 12 |
| 1.679 | 36 |
| 1.673 | 18 |
| 1.609 | 13 |
| 1.601 | 13 |
| 1.391 | 4 |
| 1.390 | 8 |

Structural model:
Cell lengths 10.432, 10.432, 10.432 Å; angles 158.36, 149.06, 38.07 degrees
Element x y z (fractional)
Pu (0.099, 0.099, 0.000)
Pu (0.303, 0.303, 0.000)
Pu (0.697, 0.697, 0.000)
Pu (0.901, 0.901, 0.000)
Hf (0.500, 0.500, 0.000)
P (0.000, 0.500, 0.500)
P (0.201, 0.701, 0.500)
P (0.407, 0.907, 0.500)
P (0.593, 0.093, 0.500)
P (0.799, 0.299, 0.500)

Entry 5:
The following is a computed powder X-ray diffraction pattern of RbHf2P. It was derived from a DFT-relaxed cell (PBE, Alexandria), using a wavelength of 1.5418 Å.
Neutral-atom scattering factors, no anomalous dispersion.

Most intense lines, 2θ from 5° to 70°, sorted by position:
| d [Å] | intensity |
| --- | --- |
| 5.232 | 75 |
| 4.524 | 37 |
| 4.050 | 100 |
| 3.554 | 24 |
| 3.017 | 48 |
| 2.616 | 87 |
| 2.422 | 54 |
| 2.338 | 17 |
| 2.263 | 44 |
| 2.025 | 55 |
| 1.777 | 70 |
| 1.509 | 29 |

Structural model:
Cell lengths 5.465, 5.465, 18.095 Å; angles 90.00, 90.00, 90.00 degrees
Element x y z (fractional)
Rb (0.000, 0.000, 0.000)
Rb (0.000, 0.500, 0.250)
Rb (0.500, 0.000, 0.750)
Rb (0.500, 0.500, 0.500)
Hf (0.011, 0.250, 0.625)
Hf (0.250, 0.511, 0.875)
Hf (0.250, 0.989, 0.375)
Hf (0.489, 0.250, 0.125)
Hf (0.511, 0.750, 0.125)
Hf (0.750, 0.011, 0.375)
Hf (0.750, 0.489, 0.875)
Hf (0.989, 0.750, 0.625)
P (0.000, 0.000, 0.500)
P (0.000, 0.500, 0.750)
P (0.500, 0.000, 0.250)
P (0.500, 0.500, 0.000)

Entry 6:
The following is a computed powder X-ray diffraction pattern of HfPRh2. It was derived from a DFT-relaxed cell (PBE, Alexandria), using a wavelength of 1.5418 Å.
Neutral-atom scattering factors, no anomalous dispersion.

Most intense lines, 2θ from 5° to 70°, sorted by position:
| d [Å] | intensity |
| --- | --- |
| 2.639 | 17 |
| 2.631 | 45 |
| 2.429 | 100 |
| 2.420 | 36 |
| 2.402 | 35 |
| 2.289 | 17 |
| 2.267 | 75 |
| 2.097 | 34 |
| 2.062 | 22 |
| 1.966 | 23 |
| 1.839 | 18 |
| 1.369 | 37 |

Structural model:
Cell lengths 13.788, 6.848, 5.126 Å; angles 90.00, 90.00, 90.00 degrees
Element x y z (fractional)
Hf (0.113, 0.250, 0.233)
Hf (0.135, 0.750, 0.031)
Hf (0.365, 0.250, 0.531)
Hf (0.387, 0.750, 0.733)
Hf (0.613, 0.250, 0.267)
Hf (0.635, 0.750, 0.469)
Hf (0.865, 0.250, 0.969)
Hf (0.887, 0.750, 0.767)
P (0.067, 0.750, 0.531)
P (0.183, 0.250, 0.746)
P (0.317, 0.750, 0.246)
P (0.433, 0.250, 0.031)
P (0.567, 0.750, 0.969)
P (0.683, 0.250, 0.754)
P (0.817, 0.750, 0.254)
P (0.933, 0.250, 0.469)
Rh (0.034, 0.047, 0.753)
Rh (0.034, 0.453, 0.753)
Rh (0.215, 0.549, 0.531)
Rh (0.215, 0.951, 0.531)
Rh (0.285, 0.049, 0.031)
Rh (0.285, 0.451, 0.031)
Rh (0.466, 0.547, 0.253)
Rh (0.466, 0.953, 0.253)
Rh (0.534, 0.047, 0.747)
Rh (0.534, 0.453, 0.747)
Rh (0.715, 0.549, 0.969)
Rh (0.715, 0.951, 0.969)
Rh (0.785, 0.049, 0.469)
Rh (0.785, 0.451, 0.469)
Rh (0.966, 0.547, 0.247)
Rh (0.966, 0.953, 0.247)

Entry 7:
The following is a computed powder X-ray diffraction pattern of Hf6Sb2P. It was derived from a DFT-relaxed cell (PBE, Alexandria), using a wavelength of 1.5418 Å.
Neutral-atom scattering factors, no anomalous dispersion.

Most intense lines, 2θ from 5° to 70°, sorted by position:
| d [Å] | intensity |
| --- | --- |
| 2.854 | 93 |
| 2.710 | 52 |
| 2.647 | 34 |
| 2.616 | 50 |
| 2.580 | 71 |
| 2.544 | 62 |
| 2.491 | 28 |
| 2.352 | 41 |
| 2.332 | 38 |
| 2.298 | 41 |
| 2.261 | 100 |
| 1.607 | 26 |

Structural model:
Cell lengths 5.834, 7.361, 10.623 Å; angles 90.00, 121.67, 90.00 degrees
Element x y z (fractional)
Hf (0.091, 0.186, 0.454)
Hf (0.091, 0.314, 0.954)
Hf (0.310, 0.679, 0.453)
Hf (0.310, 0.821, 0.953)
Hf (0.323, 0.012, 0.220)
Hf (0.323, 0.488, 0.720)
Hf (0.677, 0.512, 0.280)
Hf (0.677, 0.988, 0.780)
Hf (0.690, 0.179, 0.047)
Hf (0.690, 0.321, 0.547)
Hf (0.909, 0.686, 0.046)
Hf (0.909, 0.814, 0.546)
Sb (0.173, 0.114, 0.747)
Sb (0.173, 0.386, 0.247)
Sb (0.827, 0.614, 0.753)
Sb (0.827, 0.886, 0.253)
P (0.500, 0.000, 0.500)
P (0.500, 0.500, 0.000)

Entry 8:
The following is a computed powder X-ray diffraction pattern of Hf8SbP2. It was derived from a DFT-relaxed cell (PBE, Alexandria), using a wavelength of 1.5418 Å.
Neutral-atom scattering factors, no anomalous dispersion.

Most intense lines, 2θ from 5° to 70°, sorted by position:
| d [Å] | intensity |
| --- | --- |
| 3.475 | 20 |
| 2.999 | 39 |
| 2.989 | 27 |
| 2.695 | 94 |
| 2.506 | 100 |
| 2.488 | 69 |
| 2.468 | 61 |
| 2.320 | 74 |
| 2.134 | 29 |
| 2.091 | 17 |
| 1.565 | 26 |
| 1.495 | 19 |

Structural model:
Cell lengths 7.053, 7.053, 5.059 Å; angles 98.33, 98.33, 111.68 degrees
Element x y z (fractional)
Hf (0.109, 0.109, 0.812)
Hf (0.170, 0.422, 0.401)
Hf (0.249, 0.751, 0.000)
Hf (0.422, 0.170, 0.401)
Hf (0.578, 0.830, 0.599)
Hf (0.751, 0.249, 0.000)
Hf (0.830, 0.578, 0.599)
Hf (0.891, 0.891, 0.188)
Sb (0.500, 0.500, 0.000)
P (0.187, 0.813, 0.500)
P (0.813, 0.187, 0.500)

Entry 9:
The following is a computed powder X-ray diffraction pattern of Hf8Sb2P. It was derived from a DFT-relaxed cell (PBE, Alexandria), using a wavelength of 1.5418 Å.
Neutral-atom scattering factors, no anomalous dispersion.

Most intense lines, 2θ from 5° to 70°, sorted by position:
| d [Å] | intensity |
| --- | --- |
| 2.904 | 13 |
| 2.821 | 13 |
| 2.732 | 21 |
| 2.681 | 100 |
| 2.651 | 26 |
| 2.462 | 38 |
| 2.434 | 16 |
| 2.331 | 12 |
| 2.311 | 35 |
| 1.856 | 22 |
| 1.632 | 10 |
| 1.347 | 10 |

Structural model:
Cell lengths 8.455, 8.455, 7.849 Å; angles 94.28, 94.28, 25.36 degrees
Element x y z (fractional)
Hf (0.016, 0.016, 0.229)
Hf (0.203, 0.203, 0.357)
Hf (0.342, 0.342, 0.959)
Hf (0.413, 0.413, 0.484)
Hf (0.587, 0.587, 0.516)
Hf (0.658, 0.658, 0.041)
Hf (0.797, 0.797, 0.643)
Hf (0.984, 0.984, 0.771)
Sb (0.175, 0.175, 0.757)
Sb (0.825, 0.825, 0.243)
P (0.500, 0.500, 0.000)

Entry 10:
The following is a computed powder X-ray diffraction pattern of Hf4ScP5. It was derived from a DFT-relaxed cell (PBE, Alexandria), using a wavelength of 1.5418 Å.
Neutral-atom scattering factors, no anomalous dispersion.

Most intense lines, 2θ from 5° to 70°, sorted by position:
| d [Å] | intensity |
| --- | --- |
| 15.135 | 37 |
| 7.568 | 11 |
| 3.207 | 4 |
| 3.183 | 3 |
| 3.093 | 3 |
| 3.030 | 84 |
| 2.797 | 3 |
| 2.624 | 100 |
| 2.536 | 3 |
| 1.855 | 71 |
| 1.582 | 39 |
| 1.515 | 24 |

Structural model:
Cell lengths 15.286, 15.286, 15.286 Å; angles 13.95, 13.95, 13.95 degrees
Element x y z (fractional)
Hf (0.099, 0.099, 0.099)
Hf (0.299, 0.299, 0.299)
Hf (0.701, 0.701, 0.701)
Hf (0.901, 0.901, 0.901)
Sc (0.500, 0.500, 0.500)
P (0.000, 0.000, 0.000)
P (0.201, 0.201, 0.201)
P (0.400, 0.400, 0.400)
P (0.600, 0.600, 0.600)
P (0.799, 0.799, 0.799)

Entry 11:
The following is a computed powder X-ray diffraction pattern of Hf5ScP4. It was derived from a DFT-relaxed cell (PBE, Alexandria), using a wavelength of 1.5418 Å.
Neutral-atom scattering factors, no anomalous dispersion.

Most intense lines, 2θ from 5° to 70°, sorted by position:
| d [Å] | intensity |
| --- | --- |
| 3.758 | 14 |
| 3.015 | 40 |
| 2.927 | 75 |
| 2.872 | 37 |
| 2.574 | 100 |
| 2.479 | 35 |
| 1.826 | 17 |
| 1.818 | 27 |
| 1.813 | 17 |
| 1.754 | 26 |
| 1.534 | 15 |
| 1.464 | 13 |

Structural model:
Cell lengths 7.967, 7.967, 7.315 Å; angles 106.09, 106.09, 26.31 degrees
Element x y z (fractional)
Hf (0.000, 0.000, 0.000)
Hf (0.314, 0.314, 0.160)
Hf (0.341, 0.341, 0.666)
Hf (0.659, 0.659, 0.334)
Hf (0.686, 0.686, 0.840)
Sc (0.000, 0.000, 0.500)
P (0.170, 0.170, 0.586)
P (0.487, 0.487, 0.238)
P (0.513, 0.513, 0.762)
P (0.830, 0.830, 0.414)

Entry 12:
The following is a computed powder X-ray diffraction pattern of HfSc4P5. It was derived from a DFT-relaxed cell (PBE, Alexandria), using a wavelength of 1.5418 Å.
Neutral-atom scattering factors, no anomalous dispersion.

Most intense lines, 2θ from 5° to 70°, sorted by position:
| d [Å] | intensity |
| --- | --- |
| 9.368 | 39 |
| 5.086 | 22 |
| 4.684 | 9 |
| 4.034 | 13 |
| 3.664 | 10 |
| 3.054 | 30 |
| 2.901 | 11 |
| 2.645 | 100 |
| 1.874 | 11 |
| 1.869 | 56 |
| 1.528 | 11 |
| 1.525 | 11 |

Structural model:
Cell lengths 9.911, 9.911, 9.911 Å; angles 158.27, 149.07, 38.11 degrees
Element x y z (fractional)
Hf (0.000, 0.000, 0.000)
Sc (0.200, 0.200, 0.000)
Sc (0.399, 0.399, 0.000)
Sc (0.601, 0.601, 0.000)
Sc (0.800, 0.800, 0.000)
P (0.099, 0.599, 0.500)
P (0.300, 0.800, 0.500)
P (0.500, 0.000, 0.500)
P (0.700, 0.200, 0.500)
P (0.901, 0.401, 0.500)

Entry 13:
The following is a computed powder X-ray diffraction pattern of Hf4PSe. It was derived from a DFT-relaxed cell (PBE, Alexandria), using a wavelength of 1.5418 Å.
Neutral-atom scattering factors, no anomalous dispersion.

Most intense lines, 2θ from 5° to 70°, sorted by position:
| d [Å] | intensity |
| --- | --- |
| 4.248 | 10 |
| 3.004 | 35 |
| 2.777 | 100 |
| 2.687 | 28 |
| 2.168 | 17 |
| 2.124 | 22 |
| 1.835 | 11 |
| 1.758 | 24 |
| 1.687 | 23 |
| 1.516 | 17 |
| 1.457 | 12 |
| 1.388 | 10 |

Structural model:
Cell lengths 7.040, 7.040, 7.040 Å; angles 105.76, 105.76, 117.17 degrees
Element x y z (fractional)
Hf (0.201, 0.000, 0.201)
Hf (0.225, 0.513, 0.288)
Hf (0.225, 0.936, 0.712)
Hf (0.263, 0.475, 0.788)
Hf (0.686, 0.475, 0.212)
Hf (0.750, 0.049, 0.299)
Hf (0.750, 0.451, 0.701)
Hf (0.799, 0.000, 0.799)
P (0.243, 0.243, 0.000)
P (0.993, 0.493, 0.500)
Se (0.481, 0.981, 0.500)
Se (0.731, 0.731, 0.000)